[1]
The following is a theoretical X-ray powder pattern of Y2IrAu. It was derived from a structure optimized by DFT (GGA-PBE), using λ = 1.5418 Å (Cu Kα).

Structure:
```
data_Y2IrAu
_space_group_name_H-M_alt 'F m -3 m'
_space_group_IT_number 225
_space_group_name_Hall '-F 4 2 3'
_cell_length_a 7.048
_cell_length_b 7.048
_cell_length_c 7.048
_cell_angle_alpha 90.00
_cell_angle_beta 90.00
_cell_angle_gamma 90.00
loop_
_atom_site_label
_atom_site_fract_x
_atom_site_fract_y
_atom_site_fract_z
_atom_site_occupancy
Y1 0.250 0.250 0.250 1
Ir1 0.000 0.000 0.000 1
Au1 0.000 0.000 0.500 1
```

The 6 most intense peaks (5° ≤ 2θ ≤ 70°), sorted by position:
d (Å), two_theta, I_rel
3.524, 25.27, 16
2.492, 36.05, 100
2.034, 44.54, 5
1.762, 51.90, 18
1.576, 58.58, 7
1.439, 64.81, 36

=====

[2]
The following is a theoretical X-ray powder pattern of LaAgO3. It was derived from a structure optimized by DFT (GGA-PBE), using λ = 1.5418 Å (Cu Kα).

Structure:
```
data_LaAgO3
_space_group_name_H-M_alt 'P m -3 m'
_space_group_IT_number 221
_space_group_name_Hall '-P 4 2 3'
_cell_length_a 4.108
_cell_length_b 4.108
_cell_length_c 4.108
_cell_angle_alpha 90.00
_cell_angle_beta 90.00
_cell_angle_gamma 90.00
loop_
_atom_site_label
_atom_site_fract_x
_atom_site_fract_y
_atom_site_fract_z
_atom_site_occupancy
La1 0.000 0.000 0.000 1
Ag1 0.500 0.500 0.500 1
O1 0.000 0.500 0.500 1
```

The 5 most intense peaks (5° ≤ 2θ ≤ 70°), sorted by position:
d (Å), two_theta, I_rel
2.905, 30.78, 100
2.372, 37.93, 4
2.054, 44.08, 30
1.677, 54.73, 39
1.453, 64.11, 18

=====

[3]
The following is a theoretical X-ray powder pattern of Na4YSi2GePO12. It was derived from a structure optimized by DFT (GGA-PBE), using λ = 1.5418 Å (Cu Kα).

Structure:
```
data_Na4YSi2GePO12
_space_group_name_H-M_alt 'C 1 c 1'
_space_group_IT_number 9
_cell_length_a 16.029
_cell_length_b 9.132
_cell_length_c 9.090
_cell_angle_alpha 90.00
_cell_angle_beta 124.07
_cell_angle_gamma 90.00
loop_
_space_group_symop_operation_xyz
'x,y,z'
'x,-y,z+1/2'
'x+1/2,y+1/2,z'
'x+1/2,-y+1/2,z+1/2'
loop_
_atom_site_label
_atom_site_fract_x
_atom_site_fract_y
_atom_site_fract_z
_atom_site_occupancy
Na1 0.000 0.062 0.000 1
Na2 0.068 0.245 0.751 1
Na3 0.135 0.430 0.503 1
Na4 0.313 0.120 0.992 1
Y1 0.415 0.253 0.799 1
Si1 0.172 0.096 0.501 1
Si2 0.310 0.455 0.998 1
Ge1 0.219 0.247 0.201 1
P1 0.464 0.110 0.494 1
O1 0.055 0.312 0.005 1
O2 0.074 0.167 0.484 1
O3 0.172 0.089 0.019 1
O4 0.177 0.128 0.320 1
O5 0.230 0.355 0.022 1
O6 0.236 0.431 0.322 1
O7 0.267 0.168 0.674 1
O8 0.365 0.183 0.329 1
O9 0.384 0.345 0.984 1
O10 0.389 0.454 0.670 1
O11 0.467 0.126 0.663 1
O12 0.472 0.056 0.977 1
```

The 12 most intense peaks (5° ≤ 2θ ≤ 70°), sorted by position:
d (Å), two_theta, I_rel
4.637, 19.14, 82
4.610, 19.25, 64
4.554, 19.49, 80
3.221, 27.69, 40
2.959, 30.20, 100
2.905, 30.78, 74
2.876, 31.10, 73
2.670, 33.56, 44
2.645, 33.89, 89
1.991, 45.55, 32
1.951, 46.55, 40
1.941, 46.80, 27

=====

[4]
The following is a theoretical X-ray powder pattern of CdGeP2. It was derived from a structure optimized by DFT (GGA-PBE), using λ = 1.5418 Å (Cu Kα).

Structure:
```
data_CdGeP2
_space_group_name_H-M_alt 'R 3 m'
_space_group_IT_number 160
_space_group_name_Hall 'R 3 -2"'
_cell_length_a 4.0706
_cell_length_b 4.0706
_cell_length_c 19.9008
_cell_angle_alpha 90.00
_cell_angle_beta 90.00
_cell_angle_gamma 120.00
loop_
_atom_site_label
_atom_site_fract_x
_atom_site_fract_y
_atom_site_fract_z
_atom_site_occupancy
Cd1 0.0000 0.0000 0.0000 1
Ge1 0.0000 0.0000 0.4889 1
P1 0.0000 0.0000 0.3754 1
P2 0.0000 0.0000 0.8683 1
```

The 12 most intense peaks (5° ≤ 2θ ≤ 70°), sorted by position:
d (Å), two_theta, I_rel
6.634, 13.35, 6
3.471, 25.66, 3
3.321, 26.84, 100
2.876, 31.09, 21
2.639, 33.97, 3
2.213, 40.78, 3
2.034, 44.55, 57
1.735, 52.78, 42
1.661, 55.29, 4
1.610, 57.21, 2
1.498, 61.96, 2
1.438, 64.83, 9

=====

[5]
The following is a theoretical X-ray powder pattern of BaCaGe. It was derived from a structure optimized by DFT (GGA-PBE), using λ = 1.5418 Å (Cu Kα).

Structure:
```
data_BaCaGe
_space_group_name_H-M_alt 'P n m a'
_space_group_IT_number 62
_cell_length_a 8.634
_cell_length_b 5.111
_cell_length_c 9.257
_cell_angle_alpha 90.00
_cell_angle_beta 90.00
_cell_angle_gamma 90.00
loop_
_space_group_symop_operation_xyz
'x,y,z'
'-x,-y,-z'
'-x+1/2,-y,z+1/2'
'x+1/2,y,-z+1/2'
'x+1/2,-y+1/2,-z+1/2'
'-x+1/2,y+1/2,z+1/2'
'-x,y+1/2,-z'
'x,-y+1/2,z'
loop_
_atom_site_label
_atom_site_fract_x
_atom_site_fract_y
_atom_site_fract_z
_atom_site_occupancy
Ba1 0.028 0.250 0.176 1
Ca1 0.141 0.250 0.574 1
Ge1 0.219 0.750 0.392 1
```

The 12 most intense peaks (5° ≤ 2θ ≤ 70°), sorted by position:
d (Å), two_theta, I_rel
3.188, 27.98, 84
3.157, 28.27, 18
3.107, 28.73, 100
2.906, 30.77, 26
2.748, 32.58, 20
2.642, 33.94, 22
2.556, 35.11, 36
2.444, 36.77, 18
1.987, 45.65, 18
1.919, 47.37, 16
1.766, 51.75, 14
1.701, 53.91, 19